This entry pairs a crystal structure of Ac2Ni3Pt12Rh with its theoretical PXRD pattern. Radiation: copper Kα. Structure: a crystal structure in Alexandria, relaxed with GGA-PBE.
Lines closer than 0.1° are merged.

Structural model:
Lattice parameters (Å, degrees): 8.221 8.221 8.221 58.11 58.11 58.11
Sites, in units of the cell vectors:
Ac: 0.124 0.124 0.124
Ac: 0.876 0.876 0.876
Ni: 0.000 0.500 0.500
Ni: 0.500 0.000 0.500
Ni: 0.500 0.500 0.000
Pt: 0.118 0.619 0.619
Pt: 0.131 0.131 0.622
Pt: 0.131 0.622 0.131
Pt: 0.378 0.869 0.869
Pt: 0.381 0.381 0.882
Pt: 0.381 0.882 0.381
Pt: 0.619 0.118 0.619
Pt: 0.619 0.619 0.118
Pt: 0.622 0.131 0.131
Pt: 0.869 0.378 0.869
Pt: 0.869 0.869 0.378
Pt: 0.882 0.381 0.381
Rh: 0.500 0.500 0.500

Top 6 peaks for 10 to 90 degrees two-theta, by intensity:
d/Å, two_theta, I_rel
2.863, 31.2, 100
2.054, 44.1, 59
1.996, 45.4, 57
1.637, 56.2, 20
1.163, 83.0, 20
1.431, 65.2, 20